1.
Starting from a cell relaxed with PBE, the powder diffraction line list of Li6AcTl6 was calculated for Cu Kα X-rays.
No peak broadening, texture or thermal motion is included.

Principal peaks in the range 10° ≤ 2θ ≤ 90°, most intense first:
30.62 deg, I = 100, (1 0 3); 17.84 deg, I = 69, (0 2 0); 29.88 deg, I = 57, (2 0 0); 35.66 deg, I = 50, (1 2 3); 35.77 deg, I = 44, (1 3 2); 35.01 deg, I = 31, (2 2 0); 56.89 deg, I = 24, (3 2 3); 64.68 deg, I = 24, (1 6 3); 53.50 deg, I = 22, (3 0 3); 64.28 deg, I = 20, (2 6 0)

Structure:
```
data_Li6AcTl6
_cell_length_a 5.9814
_cell_length_b 9.9416
_cell_length_c 10.0364
_cell_angle_alpha 90.00
_cell_angle_beta 90.00
_cell_angle_gamma 90.00
_symmetry_space_group_name_H-M 'I m m m'
_symmetry_Int_Tables_number 71
_symmetry_space_group_name_Hall '-I 2 2'
loop_
_atom_site_label
_atom_site_type_symbol
_atom_site_fract_x
_atom_site_fract_y
_atom_site_fract_z
Li1 Li 0.0000 0.2380 0.0000
Li2 Li 0.2500 0.2500 0.2500
Ac1 Ac 0.0000 0.5000 0.5000
Tl1 Tl 0.0000 0.0000 0.1893
Tl2 Tl 0.0000 0.1559 0.5000
Tl3 Tl 0.0000 0.5000 0.1547
```



2.
Starting from a cell relaxed with PBE, the powder diffraction line list of Li2Ac3Tl4Zn2 was calculated for Cu Kα X-rays.
No peak broadening, texture or thermal motion is included.

Principal peaks in the range 10° ≤ 2θ ≤ 90°, most intense first:
30.36 deg, I = 100, (1 0 4); 37.63 deg, I = 64, (1 1 0); 23.98 deg, I = 54, (0 1 2); 49.10 deg, I = 27, (0 2 4); 58.61 deg, I = 26, (1 1 8); 63.47 deg, I = 25, (2 1 4); 26.81 deg, I = 18, (0 1 3); 38.91 deg, I = 17, (1 0 6); 67.93 deg, I = 11, (3 0 0); 88.25 deg, I = 11, (1 3 4)

Structure:
```
data_Li2Ac3Tl4Zn2
_cell_length_a 4.7802
_cell_length_b 4.7802
_cell_length_c 16.7513
_cell_angle_alpha 90.00
_cell_angle_beta 90.00
_cell_angle_gamma 120.00
_symmetry_space_group_name_H-M 'P -3 m 1'
_symmetry_Int_Tables_number 164
_symmetry_space_group_name_Hall '-P 3 2"'
loop_
_atom_site_label
_atom_site_type_symbol
_atom_site_fract_x
_atom_site_fract_y
_atom_site_fract_z
Li1 Li 0.3333 0.6667 0.0537
Ac1 Ac 0.0000 0.0000 0.2381
Ac2 Ac 0.0000 0.0000 0.5000
Tl1 Tl 0.3333 0.6667 0.3769
Tl2 Tl 0.3333 0.6667 0.8809
Zn1 Zn 0.3333 0.6667 0.6495
```



3.
Starting from a cell relaxed with PBE, the powder diffraction line list of Li8AcZn4 was calculated for Cu Kα X-rays.
No peak broadening, texture or thermal motion is included.

Principal peaks in the range 10° ≤ 2θ ≤ 90°, most intense first:
26.24 deg, I = 100, (2 2 0); 13.03 deg, I = 92, (1 1 0); 38.72 deg, I = 82, (2 0 2); 19.08 deg, I = 82, (1 0 1); 26.68 deg, I = 80, (2 1 1); 54.96 deg, I = 54, (4 2 2); 37.45 deg, I = 48, (4 0 0); 37.77 deg, I = 39, (3 2 1); 29.40 deg, I = 32, (3 1 0); 32.65 deg, I = 27, (3 0 1)

Structure:
```
data_Li8AcZn4
_cell_length_a 9.6055
_cell_length_b 9.6055
_cell_length_c 5.3158
_cell_angle_alpha 90.00
_cell_angle_beta 90.00
_cell_angle_gamma 90.00
_symmetry_space_group_name_H-M 'I 4/m m m'
_symmetry_Int_Tables_number 139
_symmetry_space_group_name_Hall '-I 4 2'
loop_
_atom_site_label
_atom_site_type_symbol
_atom_site_fract_x
_atom_site_fract_y
_atom_site_fract_z
Li1 Li 0.0000 0.2332 0.0000
Li2 Li 0.0000 0.3514 0.5000
Ac1 Ac 0.0000 0.0000 0.5000
Zn1 Zn 0.2500 0.2500 0.2500
```



4.
Starting from a cell relaxed with PBE, the powder diffraction line list of AcLuMgZn was calculated for Cu Kα X-rays.
No peak broadening, texture or thermal motion is included.

Principal peaks in the range 10° ≤ 2θ ≤ 90°, most intense first:
33.12 deg, I = 100, (2 2 0); 23.25 deg, I = 44, (2 0 0); 59.16 deg, I = 38, (4 2 2); 53.57 deg, I = 19, (4 2 0); 47.54 deg, I = 18, (4 0 0); 79.19 deg, I = 16, (6 2 0); 40.86 deg, I = 14, (2 2 2); 69.51 deg, I = 12, (4 4 0); 74.40 deg, I = 10, (6 0 0); 83.89 deg, I = 6, (6 2 2)

Structure:
```
data_AcLuMgZn
_cell_length_a 7.6502
_cell_length_b 7.6502
_cell_length_c 7.6502
_cell_angle_alpha 90.00
_cell_angle_beta 90.00
_cell_angle_gamma 90.00
_symmetry_space_group_name_H-M 'F -4 3 m'
_symmetry_Int_Tables_number 216
_symmetry_space_group_name_Hall 'F -4 2 3'
loop_
_atom_site_label
_atom_site_type_symbol
_atom_site_fract_x
_atom_site_fract_y
_atom_site_fract_z
Ac1 Ac 0.0000 0.0000 0.0000
Lu1 Lu 0.0000 0.0000 0.5000
Mg1 Mg 0.2500 0.2500 0.7500
Zn1 Zn 0.2500 0.2500 0.2500
```



5.
Starting from a cell relaxed with PBE, the powder diffraction line list of AcLuPdRu was calculated for Cu Kα X-rays.
No peak broadening, texture or thermal motion is included.

Principal peaks in the range 10° ≤ 2θ ≤ 90°, most intense first:
35.58 deg, I = 100, (2 2 0); 63.90 deg, I = 37, (4 2 2); 51.20 deg, I = 18, (4 0 0); 86.18 deg, I = 16, (6 2 0); 75.33 deg, I = 11, (4 4 0); 24.95 deg, I = 11, (2 0 0); 57.77 deg, I = 5, (4 2 0); 43.95 deg, I = 3, (2 2 2); 80.80 deg, I = 2, (6 0 0); 21.57 deg, I = 1, (1 1 1)

Structure:
```
data_AcLuPdRu
_cell_length_a 7.1371
_cell_length_b 7.1371
_cell_length_c 7.1371
_cell_angle_alpha 90.00
_cell_angle_beta 90.00
_cell_angle_gamma 90.00
_symmetry_space_group_name_H-M 'F -4 3 m'
_symmetry_Int_Tables_number 216
_symmetry_space_group_name_Hall 'F -4 2 3'
loop_
_atom_site_label
_atom_site_type_symbol
_atom_site_fract_x
_atom_site_fract_y
_atom_site_fract_z
Ac1 Ac 0.0000 0.0000 0.0000
Lu1 Lu 0.0000 0.0000 0.5000
Pd1 Pd 0.2500 0.2500 0.2500
Ru1 Ru 0.2500 0.2500 0.7500
```



6.
Starting from a cell relaxed with PBE, the powder diffraction line list of Ac2PrLu was calculated for Cu Kα X-rays.
No peak broadening, texture or thermal motion is included.

Principal peaks in the range 10° ≤ 2θ ≤ 90°, most intense first:
29.64 deg, I = 100, (2 2 0); 52.59 deg, I = 41, (4 2 2); 85.17 deg, I = 22, (6 4 2); 42.41 deg, I = 19, (4 0 0); 69.77 deg, I = 18, (6 2 0); 61.53 deg, I = 13, (4 4 0); 77.59 deg, I = 4, (4 4 4); 20.84 deg, I = 3, (2 0 0); 47.71 deg, I = 2, (4 2 0); 36.51 deg, I = 1, (2 2 2)

Structure:
```
data_Ac2PrLu
_cell_length_a 8.5252
_cell_length_b 8.5252
_cell_length_c 8.5252
_cell_angle_alpha 90.00
_cell_angle_beta 90.00
_cell_angle_gamma 90.00
_symmetry_space_group_name_H-M 'F m -3 m'
_symmetry_Int_Tables_number 225
_symmetry_space_group_name_Hall '-F 4 2 3'
loop_
_atom_site_label
_atom_site_type_symbol
_atom_site_fract_x
_atom_site_fract_y
_atom_site_fract_z
Ac1 Ac 0.2500 0.2500 0.2500
Pr1 Pr 0.0000 0.0000 0.0000
Lu1 Lu 0.0000 0.0000 0.5000
```



7.
Starting from a cell relaxed with PBE, the powder diffraction line list of AcLu2Sc was calculated for Cu Kα X-rays.
No peak broadening, texture or thermal motion is included.

Principal peaks in the range 10° ≤ 2θ ≤ 90°, most intense first:
29.71 deg, I = 100, (1 0 1); 38.67 deg, I = 83, (1 0 10); 30.02 deg, I = 71, (0 1 2); 40.35 deg, I = 54, (0 1 11); 21.85 deg, I = 51, (0 0 9); 52.53 deg, I = 46, (1 1 0); 29.28 deg, I = 38, (0 0 12); 61.28 deg, I = 28, (1 1 12); 35.64 deg, I = 25, (0 1 8); 57.56 deg, I = 24, (1 1 9)

Structure:
```
data_AcLu2Sc
_cell_length_a 3.4837
_cell_length_b 3.4837
_cell_length_c 36.6079
_cell_angle_alpha 90.00
_cell_angle_beta 90.00
_cell_angle_gamma 120.00
_symmetry_space_group_name_H-M 'R -3 m'
_symmetry_Int_Tables_number 166
_symmetry_space_group_name_Hall '-R 3 2"'
loop_
_atom_site_label
_atom_site_type_symbol
_atom_site_fract_x
_atom_site_fract_y
_atom_site_fract_z
Ac1 Ac 0.0000 0.0000 0.0000
Lu1 Lu 0.0000 0.0000 0.0953
Sc1 Sc 0.0000 0.0000 0.5000
```



8.
Starting from a cell relaxed with PBE, the powder diffraction line list of AcLu2Sc was calculated for Cu Kα X-rays.
No peak broadening, texture or thermal motion is included.

Principal peaks in the range 10° ≤ 2θ ≤ 90°, most intense first:
31.38 deg, I = 100, (1 0 2); 32.16 deg, I = 55, (1 1 0); 25.05 deg, I = 38, (1 0 1); 56.84 deg, I = 38, (2 1 2); 46.12 deg, I = 20, (2 0 0); 46.36 deg, I = 19, (1 1 3); 60.74 deg, I = 13, (1 0 5); 32.48 deg, I = 13, (0 0 3); 79.52 deg, I = 12, (2 1 5); 55.36 deg, I = 12, (1 1 4)

Structure:
```
data_AcLu2Sc
_cell_length_a 3.9363
_cell_length_b 3.9363
_cell_length_c 8.2697
_cell_angle_alpha 90.00
_cell_angle_beta 90.00
_cell_angle_gamma 90.00
_symmetry_space_group_name_H-M 'P 4/m m m'
_symmetry_Int_Tables_number 123
_symmetry_space_group_name_Hall '-P 4 2'
loop_
_atom_site_label
_atom_site_type_symbol
_atom_site_fract_x
_atom_site_fract_y
_atom_site_fract_z
Ac1 Ac 0.0000 0.0000 0.0000
Lu1 Lu 0.5000 0.5000 0.2920
Sc1 Sc 0.0000 0.0000 0.5000
```



9.
Starting from a cell relaxed with PBE, the powder diffraction line list of AcLuThZr was calculated for Cu Kα X-rays.
No peak broadening, texture or thermal motion is included.

Principal peaks in the range 10° ≤ 2θ ≤ 90°, most intense first:
31.96 deg, I = 100, (2 2 0); 56.95 deg, I = 40, (4 2 2); 45.82 deg, I = 19, (4 0 0); 75.98 deg, I = 17, (6 2 0); 66.81 deg, I = 12, (4 4 0); 22.45 deg, I = 7, (2 0 0); 84.79 deg, I = 4, (4 4 4); 51.60 deg, I = 4, (4 2 0); 19.41 deg, I = 3, (1 1 1); 39.40 deg, I = 2, (2 2 2)

Structure:
```
data_AcLuThZr
_cell_length_a 7.9215
_cell_length_b 7.9215
_cell_length_c 7.9215
_cell_angle_alpha 90.00
_cell_angle_beta 90.00
_cell_angle_gamma 90.00
_symmetry_space_group_name_H-M 'F -4 3 m'
_symmetry_Int_Tables_number 216
_symmetry_space_group_name_Hall 'F -4 2 3'
loop_
_atom_site_label
_atom_site_type_symbol
_atom_site_fract_x
_atom_site_fract_y
_atom_site_fract_z
Ac1 Ac 0.0000 0.0000 0.0000
Lu1 Lu 0.2500 0.2500 0.7500
Th1 Th 0.0000 0.0000 0.5000
Zr1 Zr 0.2500 0.2500 0.2500
```



10.
Starting from a cell relaxed with PBE, the powder diffraction line list of Ac3Mg11 was calculated for Cu Kα X-rays.
No peak broadening, texture or thermal motion is included.

Principal peaks in the range 10° ≤ 2θ ≤ 90°, most intense first:
19.03 deg, I = 100, (1 1 0); 30.23 deg, I = 79, (1 2 3); 31.17 deg, I = 57, (1 3 0); 30.61 deg, I = 56, (1 1 4); 17.23 deg, I = 56, (0 2 0); 19.76 deg, I = 50, (0 1 3); 24.64 deg, I = 43, (1 0 3); 45.83 deg, I = 36, (1 0 7); 29.50 deg, I = 35, (0 2 4); 58.85 deg, I = 34, (1 4 7)

Structure:
```
data_Ac3Mg11
_cell_length_a 5.2325
_cell_length_b 10.2922
_cell_length_c 14.9797
_cell_angle_alpha 90.00
_cell_angle_beta 90.00
_cell_angle_gamma 90.00
_symmetry_space_group_name_H-M 'I m m m'
_symmetry_Int_Tables_number 71
_symmetry_space_group_name_Hall '-I 2 2'
loop_
_atom_site_label
_atom_site_type_symbol
_atom_site_fract_x
_atom_site_fract_y
_atom_site_fract_z
Ac1 Ac 0.0000 0.0000 0.0000
Ac2 Ac 0.0000 0.0000 0.2889
Mg1 Mg 0.0000 0.1690 0.5000
Mg2 Mg 0.0000 0.2887 0.1375
Mg3 Mg 0.0000 0.3553 0.3421
Mg4 Mg 0.0000 0.5000 0.0000
```



11.
Starting from a cell relaxed with PBE, the powder diffraction line list of AcMg6 was calculated for Cu Kα X-rays.
No peak broadening, texture or thermal motion is included.

Principal peaks in the range 10° ≤ 2θ ≤ 90°, most intense first:
31.79 deg, I = 100, (3 1 1); 18.61 deg, I = 83, (1 1 1); 30.15 deg, I = 32, (1 0 4); 16.85 deg, I = 29, (1 0 2); 26.06 deg, I = 26, (0 1 3); 17.95 deg, I = 24, (2 0 0); 53.80 deg, I = 24, (3 3 1); 14.25 deg, I = 20, (0 0 2); 34.75 deg, I = 20, (2 2 0); 22.99 deg, I = 19, (2 0 2)

Structure:
```
data_AcMg6
_cell_length_a 9.8824
_cell_length_b 6.0546
_cell_length_c 12.4297
_cell_angle_alpha 90.00
_cell_angle_beta 90.00
_cell_angle_gamma 90.00
_symmetry_space_group_name_H-M 'P n m a'
_symmetry_Int_Tables_number 62
_symmetry_space_group_name_Hall '-P 2ac 2n'
loop_
_atom_site_label
_atom_site_type_symbol
_atom_site_fract_x
_atom_site_fract_y
_atom_site_fract_z
Ac1 Ac 0.2430 0.2500 0.0595
Mg1 Mg 0.0571 0.7500 0.0899
Mg2 Mg 0.0648 0.0092 0.3074
Mg3 Mg 0.0895 0.2500 0.5186
Mg4 Mg 0.1419 0.7500 0.8529
Mg5 Mg 0.1906 0.2500 0.7519
```



Repeat the first record exactly.
Starting from a cell relaxed with PBE, the powder diffraction line list of Li6AcTl6 was calculated for Cu Kα X-rays.
No peak broadening, texture or thermal motion is included.

Principal peaks in the range 10° ≤ 2θ ≤ 90°, most intense first:
30.62 deg, I = 100, (1 0 3); 17.84 deg, I = 69, (0 2 0); 29.88 deg, I = 57, (2 0 0); 35.66 deg, I = 50, (1 2 3); 35.77 deg, I = 44, (1 3 2); 35.01 deg, I = 31, (2 2 0); 56.89 deg, I = 24, (3 2 3); 64.68 deg, I = 24, (1 6 3); 53.50 deg, I = 22, (3 0 3); 64.28 deg, I = 20, (2 6 0)

Structure:
```
data_Li6AcTl6
_cell_length_a 5.9814
_cell_length_b 9.9416
_cell_length_c 10.0364
_cell_angle_alpha 90.00
_cell_angle_beta 90.00
_cell_angle_gamma 90.00
_symmetry_space_group_name_H-M 'I m m m'
_symmetry_Int_Tables_number 71
_symmetry_space_group_name_Hall '-I 2 2'
loop_
_atom_site_label
_atom_site_type_symbol
_atom_site_fract_x
_atom_site_fract_y
_atom_site_fract_z
Li1 Li 0.0000 0.2380 0.0000
Li2 Li 0.2500 0.2500 0.2500
Ac1 Ac 0.0000 0.5000 0.5000
Tl1 Tl 0.0000 0.0000 0.1893
Tl2 Tl 0.0000 0.1559 0.5000
Tl3 Tl 0.0000 0.5000 0.1547
```



Copy entry 10 word for word.
Starting from a cell relaxed with PBE, the powder diffraction line list of Ac3Mg11 was calculated for Cu Kα X-rays.
No peak broadening, texture or thermal motion is included.

Principal peaks in the range 10° ≤ 2θ ≤ 90°, most intense first:
19.03 deg, I = 100, (1 1 0); 30.23 deg, I = 79, (1 2 3); 31.17 deg, I = 57, (1 3 0); 30.61 deg, I = 56, (1 1 4); 17.23 deg, I = 56, (0 2 0); 19.76 deg, I = 50, (0 1 3); 24.64 deg, I = 43, (1 0 3); 45.83 deg, I = 36, (1 0 7); 29.50 deg, I = 35, (0 2 4); 58.85 deg, I = 34, (1 4 7)

Structure:
```
data_Ac3Mg11
_cell_length_a 5.2325
_cell_length_b 10.2922
_cell_length_c 14.9797
_cell_angle_alpha 90.00
_cell_angle_beta 90.00
_cell_angle_gamma 90.00
_symmetry_space_group_name_H-M 'I m m m'
_symmetry_Int_Tables_number 71
_symmetry_space_group_name_Hall '-I 2 2'
loop_
_atom_site_label
_atom_site_type_symbol
_atom_site_fract_x
_atom_site_fract_y
_atom_site_fract_z
Ac1 Ac 0.0000 0.0000 0.0000
Ac2 Ac 0.0000 0.0000 0.2889
Mg1 Mg 0.0000 0.1690 0.5000
Mg2 Mg 0.0000 0.2887 0.1375
Mg3 Mg 0.0000 0.3553 0.3421
Mg4 Mg 0.0000 0.5000 0.0000
```